# CsMoRuO6
Calculated X-ray diffraction stick pattern, copper Kα. Input: DFT lattice parameters and positions (GGA+U).

Peak list (6 most intense, 15° ≤ 2θ ≤ 90°, in order of rising 2θ)
- d = 3.779 Å, I = 100.0, (1 0 1)
- d = 2.698 Å, I = 30.2, (1 1 0)
- d = 2.196 Å, I = 13.8, (2 0 1)
- d = 2.066 Å, I = 38.5, (1 1 2)
- d = 1.703 Å, I = 19.6, (2 1 1)
- d = 1.578 Å, I = 12.3, (2 0 3)

Structure:
abc: 5.3966 5.3966 6.4215
angles: 90.00 90.00 120.00
Fractional coordinates of all 9 atoms:
Cs1 0.0000 0.0000 0.0000
Mo1 0.6667 0.3333 0.5000
Ru1 0.3333 0.6667 0.5000
O1 0.0026 0.5013 0.3155
O2 0.0026 0.5013 0.6845
O3 0.4987 0.5013 0.3155
O4 0.4987 0.5013 0.6845
O5 0.4987 0.9974 0.3155
O6 0.4987 0.9974 0.6845